(1)
Calculated powder X-ray diffraction pattern
Compound: ZnCu2GeSe4
Radiation: copper Kα
Structure: a structure optimized by DFT (GGA-PBE)
No peak broadening, texture or thermal motion is included.

Structural model:
```
ZnCu2GeSe4
1.0
5.6528 0.0000 0.0000
0.0000 5.6528 0.0000
0.0000 0.0000 11.2909
Zn Cu Ge Se
2 4 2 8
Cartesian
0.0000 0.0000 0.0000
2.8264 2.8264 5.6454
0.0000 2.8264 2.8227
0.0000 2.8264 8.4681
2.8264 0.0000 2.8227
2.8264 0.0000 8.4681
0.0000 0.0000 5.6454
2.8264 2.8264 0.0000
1.3882 1.3882 4.1769
1.3882 4.2646 7.1140
1.4382 1.4382 9.8223
1.4382 4.2146 1.4685
4.2146 1.4382 1.4685
4.2146 4.2146 9.8223
4.2646 1.3882 7.1140
4.2646 4.2646 4.1769
```

The 4 most intense peaks (5 to 70 degrees two-theta), low angle first:
2θ (°)  I (rel.)
27.3  100
45.4  73
53.8  43
66.2  11


(2)
Calculated powder X-ray diffraction pattern
Compound: SmCu2Ge2
Radiation: copper Kα
Structure: a structure optimized by DFT (GGA-PBE)
No peak broadening, texture or thermal motion is included.

Structural model:
```
SmCu2Ge2
1.0
4.1085 0.0000 0.0000
0.0000 4.1085 0.0000
0.0000 0.0000 10.3297
Sm Cu Ge
2 4 4
Cartesian
0.0000 0.0000 0.0000
2.0542 2.0542 5.1649
0.0000 2.0542 2.5824
0.0000 2.0542 7.7473
2.0542 0.0000 2.5824
2.0542 0.0000 7.7473
0.0000 0.0000 3.9153
0.0000 0.0000 6.4144
2.0542 2.0542 1.2496
2.0542 2.0542 9.0802
```

The 6 most intense peaks (5 to 70 degrees two-theta), low angle first:
2θ (°)  I (rel.)
34.0  79
35.5  100
44.1  59
49.4  32
56.8  36
68.3  24


(3)
Calculated powder X-ray diffraction pattern
Compound: SrCu9Ge4
Radiation: copper Kα
Structure: a structure optimized by DFT (GGA-PBE)
No peak broadening, texture or thermal motion is included.

Structural model:
```
SrCu9Ge4
1.0
-4.1566 4.1566 5.9814
4.1566 -4.1566 5.9814
4.1566 4.1566 -5.9814
Sr Cu Ge
2 18 8
Cartesian
0.0000 0.0000 2.9907
0.0000 0.0000 8.9721
4.1566 0.0000 0.0000
3.1784 -0.9781 2.1337
6.6275 0.5159 0.0000
0.5159 1.6857 0.0000
5.1347 -0.9781 3.8477
5.1347 0.9781 2.1337
4.6725 2.4709 0.0000
2.4709 3.6407 0.0000
3.1784 0.9781 3.8477
0.0000 4.1566 0.0000
0.9781 3.1784 2.1337
1.6857 0.5159 5.9814
-0.5159 1.6857 5.9814
-0.9781 3.1784 3.8477
-0.9781 5.1347 2.1337
3.6407 2.4709 5.9814
-2.4709 3.6407 5.9814
0.9781 5.1347 3.8477
2.6678 1.4888 -1.4565
2.6678 -1.4888 4.5249
2.6678 1.4888 1.4565
2.6678 -1.4888 7.4379
1.4888 5.6454 -1.4565
1.4888 2.6678 4.5249
1.4888 5.6454 1.4565
1.4888 2.6678 7.4379
```

The 6 most intense peaks (5 to 70 degrees two-theta), low angle first:
2θ (°)  I (rel.)
37.0  55
37.4  100
45.1  82
45.4  100
45.6  86
46.3  39


(4)
Calculated powder X-ray diffraction pattern
Compound: TbCuGe
Radiation: copper Kα
Structure: a structure optimized by DFT (GGA-PBE)
No peak broadening, texture or thermal motion is included.

Structural model:
```
TbCuGe
1.0
4.3011 0.0000 0.0000
-2.1505 3.7248 0.0000
0.0000 0.0000 7.5452
Tb Cu Ge
2 2 2
Cartesian
0.0000 0.0000 1.7952
0.0000 0.0000 5.7500
0.0000 2.4832 0.0220
2.1505 1.2416 7.5232
0.0000 2.4832 3.6227
2.1505 1.2416 3.9226
```

The 6 most intense peaks (5 to 70 degrees two-theta), low angle first:
2θ (°)  I (rel.)
23.9  17
33.8  100
42.0  48
48.2  10
55.0  25
65.9  22


(5)
Calculated powder X-ray diffraction pattern
Compound: Tb2CuGe6
Radiation: copper Kα
Structure: a structure optimized by DFT (GGA-PBE)
No peak broadening, texture or thermal motion is included.

Structural model:
```
Tb2CuGe6
1.0
4.0761 0.0000 0.0000
0.0000 2.0347 10.6920
0.0000 -2.0347 10.6920
Tb Cu Ge
2 1 6
Cartesian
0.0000 0.0000 0.0000
0.0000 0.0000 7.1273
2.0381 0.0000 16.6657
0.0000 0.0000 12.9009
0.0000 0.0000 15.3724
2.0381 0.0000 2.1941
2.0381 0.0000 4.6797
2.0381 0.0000 9.7826
2.0381 0.0000 18.9899
```

The 6 most intense peaks (5 to 70 degrees two-theta), low angle first:
2θ (°)  I (rel.)
33.4  20
33.6  100
37.7  17
44.1  16
44.5  42
56.8  18


(6)
Calculated powder X-ray diffraction pattern
Compound: TbCuGe
Radiation: copper Kα
Structure: a structure optimized by DFT (GGA-PBE)
No peak broadening, texture or thermal motion is included.

Structural model:
```
TbCuGe
1.0
4.2426 0.0000 0.0000
-2.1213 3.6742 0.0000
0.0000 0.0000 3.7444
Tb Cu Ge
1 1 1
Cartesian
0.0000 0.0000 0.0000
0.0000 2.4495 1.8722
2.1213 1.2247 1.8722
```

The 6 most intense peaks (5 to 70 degrees two-theta), low angle first:
2θ (°)  I (rel.)
24.2  16
34.2  100
42.6  47
48.6  11
55.7  24
66.6  24